Structure and computed XRD peak list of Li8CoO4F2 (DFT lattice parameters and positions (PBE+U); Cu Kα (weighted mean of Kα1 and Kα2)).
Peak positions follow from Bragg's law for the DFT cell and can differ from measured ones.

The 10 most intense peaks (10 to 90 degrees two-theta), low angle first:
2θ (°)	Rel. int.	h k l
16.31	40	0 0 2
18.08	72	1 1 0
18.39	34	2 0 0
24.45	94	1 1 2
24.68	50	2 0 2
31.95	37	3 1 0
33.00	100	0 0 4
37.85	22	1 1 4
40.34	30	2 2 2
56.25	33	3 3 0

Cell and atoms:
```
data_Li8CoO4F2
_space_group_name_H-M_alt 'C m c 21'
_space_group_IT_number 36
_cell_length_a 9.6508
_cell_length_b 5.6973
_cell_length_c 10.8671
_cell_angle_alpha 90.00
_cell_angle_beta 90.00
_cell_angle_gamma 90.00
loop_
_space_group_symop_operation_xyz
'x,y,z'
'-x,-y,z+1/2'
'-x,y,z'
'x,-y,z+1/2'
'x+1/2,y+1/2,z'
'-x+1/2,-y+1/2,z+1/2'
'-x+1/2,y+1/2,z'
'x+1/2,-y+1/2,z+1/2'
loop_
_atom_site_label
_atom_site_type_symbol
_atom_site_fract_x
_atom_site_fract_y
_atom_site_fract_z
Li1 Li 0.0000 0.0839 0.0000
Li2 Li 0.0000 0.1858 0.6505
Li3 Li 0.1505 0.3425 0.1374
Li4 Li 0.1644 0.0050 0.7792
Li5 Li 0.1845 0.3104 0.5142
Co1 Co 0.0000 0.4669 0.8799
O1 O 0.0000 0.1585 0.8272
O2 O 0.0000 0.4819 0.5562
O3 O 0.1695 0.0013 0.0940
F1 F 0.1659 0.3274 0.3240
```